Diffraction record for Li2Mn3Cr3O12. The powder diffraction line list is theoretical, not measured: it uses a cell relaxed with GGA+U and Cu Kα, 1.54184 Å.
Peak positions follow from Bragg's law for the DFT cell and can differ from measured ones.

Atomic structure:
```
data_Li2Mn3Cr3O12
_space_group_name_H-M_alt 'P 1 2/m 1'
_space_group_IT_number 10
_cell_length_a 5.117
_cell_length_b 8.803
_cell_length_c 5.258
_cell_angle_alpha 90.00
_cell_angle_beta 109.10
_cell_angle_gamma 90.00
loop_
_space_group_symop_operation_xyz
'x,y,z'
'-x,-y,-z'
'-x,y,-z'
'x,-y,z'
loop_
_atom_site_label
_atom_site_fract_x
_atom_site_fract_y
_atom_site_fract_z
Li1 0.000 0.000 0.000
Li2 0.500 0.500 0.000
Mn1 0.000 0.168 0.500
Mn2 0.000 0.500 0.500
Cr1 0.500 0.000 0.500
Cr2 0.500 0.329 0.500
O1 0.219 0.000 0.703
O2 0.231 0.337 0.703
O3 0.253 0.165 0.297
O4 0.271 0.500 0.307
```

Largest 12 diffraction maxima, low angle first, 10 to 90 degrees two-theta:
two_theta, Rel. int., (hkl)
17.85, 100, 0 0 1
35.58, 10, 2 0 -1
35.79, 20, 1 3 0
42.81, 17, 2 0 -2
43.06, 33, 1 3 1
46.89, 8, 2 0 1
56.11, 5, 2 0 -3
56.37, 10, 1 3 2
61.65, 12, 2 0 2
63.04, 9, 3 3 -1
63.40, 5, 0 6 0
80.22, 5, 1 3 -4

Diffraction record for Li3Cr4PO19. The powder diffraction line list is theoretical, not measured: it uses a cell relaxed with GGA+U and Cu Kα, 1.54184 Å.
Peak positions follow from Bragg's law for the DFT cell and can differ from measured ones.

Atomic structure:
```
data_Li3Cr4PO19
_space_group_name_H-M_alt 'C 1 m 1'
_space_group_IT_number 8
_cell_length_a 9.911
_cell_length_b 12.408
_cell_length_c 7.769
_cell_angle_alpha 90.00
_cell_angle_beta 109.85
_cell_angle_gamma 90.00
loop_
_space_group_symop_operation_xyz
'x,y,z'
'x,-y,z'
'x+1/2,y+1/2,z'
'x+1/2,-y+1/2,z'
loop_
_atom_site_label
_atom_site_fract_x
_atom_site_fract_y
_atom_site_fract_z
Li1 0.000 0.000 0.000
Li2 0.152 0.250 0.666
Cr1 0.072 0.500 0.476
Cr2 0.212 0.000 0.711
Cr3 0.272 0.307 0.085
P1 0.035 0.500 0.038
O1 0.012 0.500 0.224
O2 0.090 0.000 0.808
O3 0.115 0.398 0.015
O4 0.165 0.391 0.559
O5 0.177 0.000 0.228
O6 0.194 0.107 0.585
O7 0.228 0.207 0.939
O8 0.307 0.262 0.291
O9 0.389 0.000 0.888
O10 0.408 0.371 0.063
O11 0.431 0.000 0.532
O12 0.435 0.270 0.670
```

Largest 12 diffraction maxima, low angle first, 10 to 90 degrees two-theta:
two_theta, Rel. int., (hkl)
11.87, 70, 1 1 0
18.77, 84, 2 0 -1
19.04, 39, 2 0 0
19.18, 80, 1 1 1
23.53, 95, 1 3 0
23.67, 90, 2 2 -1
23.88, 100, 2 2 0
24.04, 81, 1 1 -2
24.36, 53, 0 0 2
29.22, 46, 2 2 -2
29.68, 48, 3 1 0
36.48, 37, 1 3 2

Diffraction record for Li9Mn2Co5O16. The powder diffraction line list is theoretical, not measured: it uses a cell relaxed with GGA+U and Cu Kα, 1.54184 Å.
Peak positions follow from Bragg's law for the DFT cell and can differ from measured ones.

Atomic structure:
```
data_Li9Mn2Co5O16
_space_group_name_H-M_alt 'P 1'
_space_group_IT_number 1
_cell_length_a 6.440
_cell_length_b 6.475
_cell_length_c 7.838
_cell_angle_alpha 87.71
_cell_angle_beta 65.77
_cell_angle_gamma 71.77
loop_
_space_group_symop_operation_xyz
'x,y,z'
loop_
_atom_site_label
_atom_site_fract_x
_atom_site_fract_y
_atom_site_fract_z
Li1 0.000 0.000 0.000
Li2 0.003 0.504 0.502
Li3 0.254 0.123 0.623
Li4 0.268 0.633 0.121
Li5 0.510 0.751 0.755
Li6 0.520 0.241 0.240
Li7 0.631 0.812 0.062
Li8 0.752 0.380 0.881
Li9 0.758 0.873 0.368
Mn1 0.129 0.567 0.815
Mn2 0.387 0.181 0.938
Co1 0.142 0.054 0.304
Co2 0.391 0.689 0.427
Co3 0.634 0.318 0.561
Co4 0.879 0.941 0.693
Co5 0.880 0.436 0.184
O1 0.090 0.790 0.401
O2 0.091 0.290 0.893
O3 0.176 0.836 0.723
O4 0.194 0.321 0.198
O5 0.320 0.925 0.024
O6 0.325 0.428 0.548
O7 0.423 0.966 0.355
O8 0.429 0.462 0.845
O9 0.572 0.050 0.674
O10 0.585 0.527 0.167
O11 0.678 0.100 0.965
O12 0.682 0.590 0.470
O13 0.830 0.167 0.287
O14 0.845 0.664 0.769
O15 0.928 0.209 0.591
O16 0.958 0.689 0.074
```

Largest 12 diffraction maxima, low angle first, 10 to 90 degrees two-theta:
two_theta, Rel. int., (hkl)
18.45, 100, 1 1 1
35.22, 16, 1 0 -2
36.76, 24, 0 2 -2
42.28, 30, 0 1 3
44.61, 25, 1 3 -1
44.72, 26, 3 0 2
62.86, 8, 1 4 2
63.09, 8, 3 1 5
63.40, 15, 1 2 -4
64.45, 7, 4 3 1
65.58, 7, 2 -3 3
67.45, 5, 4 0 0

Diffraction record for Li2CrFeO4. The powder diffraction line list is theoretical, not measured: it uses a cell relaxed with GGA+U and Cu Kα, 1.54184 Å.
Peak positions follow from Bragg's law for the DFT cell and can differ from measured ones.

Atomic structure:
```
data_Li2CrFeO4
_space_group_name_H-M_alt 'C 1 2/c 1'
_space_group_IT_number 15
_cell_length_a 10.194
_cell_length_b 5.853
_cell_length_c 5.060
_cell_angle_alpha 90.00
_cell_angle_beta 109.16
_cell_angle_gamma 90.00
loop_
_space_group_symop_operation_xyz
'x,y,z'
'-x,-y,-z'
'-x,y,-z+1/2'
'x,-y,z+1/2'
'x+1/2,y+1/2,z'
'-x+1/2,-y+1/2,-z'
'-x+1/2,y+1/2,-z+1/2'
'x+1/2,-y+1/2,z+1/2'
loop_
_atom_site_label
_atom_site_fract_x
_atom_site_fract_y
_atom_site_fract_z
Li1 0.249 0.125 0.245
Cr1 0.000 0.373 0.250
Fe1 0.000 0.124 0.750
O1 0.111 0.121 0.494
O2 0.112 0.372 0.988
```

Largest 12 diffraction maxima, low angle first, 10 to 90 degrees two-theta:
two_theta, Rel. int., (hkl)
18.43, 100, 2 0 0
36.01, 39, 2 0 -2
37.64, 12, 0 0 2
43.62, 51, 2 2 1
43.74, 25, 4 0 -2
47.76, 12, 4 2 -1
57.57, 9, 4 2 1
63.18, 7, 4 0 2
63.29, 13, 6 2 -1
63.65, 21, 0 4 0
66.85, 9, 0 2 3
80.37, 9, 0 0 4

Diffraction record for Tl2CoP4H8O16. The powder diffraction line list is theoretical, not measured: it uses a cell relaxed with GGA+U and Cu Kα, 1.54184 Å.
Peak positions follow from Bragg's law for the DFT cell and can differ from measured ones.

Atomic structure:
```
data_Tl2CoP4H8O16
_space_group_name_H-M_alt 'P -1'
_space_group_IT_number 2
_cell_length_a 7.107
_cell_length_b 7.427
_cell_length_c 7.806
_cell_angle_alpha 81.94
_cell_angle_beta 71.79
_cell_angle_gamma 88.60
loop_
_space_group_symop_operation_xyz
'x,y,z'
'-x,-y,-z'
loop_
_atom_site_label
_atom_site_fract_x
_atom_site_fract_y
_atom_site_fract_z
Tl1 0.096 0.206 0.296
Co1 0.500 0.000 0.500
P1 0.238 0.291 0.758
P2 0.354 0.756 0.232
H1 0.083 0.762 0.076
H2 0.266 0.526 0.460
H3 0.380 0.666 0.694
H4 0.385 0.797 0.839
O1 0.054 0.273 0.935
O2 0.246 0.139 0.645
O3 0.260 0.484 0.653
O4 0.263 0.562 0.327
O5 0.281 0.813 0.069
O6 0.317 0.888 0.371
O7 0.410 0.269 0.857
O8 0.441 0.780 0.709
```

Largest 12 diffraction maxima, low angle first, 10 to 90 degrees two-theta:
two_theta, Rel. int., (hkl)
12.05, 60, 0 0 1
13.12, 26, 1 0 0
15.82, 37, 0 1 1
18.20, 45, 1 1 1
24.23, 100, 0 2 0
24.80, 60, 1 1 -1
25.55, 36, 0 2 1
28.07, 36, 1 -1 2
28.88, 59, 2 -1 0
31.16, 53, 2 1 2
31.96, 32, 0 2 2
33.38, 31, 2 -1 2

Diffraction record for KMnF3. The powder diffraction line list is theoretical, not measured: it uses a cell relaxed with GGA+U and Cu Kα, 1.54184 Å.
Peak positions follow from Bragg's law for the DFT cell and can differ from measured ones.

Atomic structure:
```
data_KMnF3
_space_group_name_H-M_alt 'P n m a'
_space_group_IT_number 62
_cell_length_a 6.022
_cell_length_b 8.497
_cell_length_c 6.012
_cell_angle_alpha 90.00
_cell_angle_beta 90.00
_cell_angle_gamma 90.00
loop_
_space_group_symop_operation_xyz
'x,y,z'
'-x,-y,-z'
'-x+1/2,-y,z+1/2'
'x+1/2,y,-z+1/2'
'x+1/2,-y+1/2,-z+1/2'
'-x+1/2,y+1/2,z+1/2'
'-x,y+1/2,-z'
'x,-y+1/2,z'
loop_
_atom_site_label
_atom_site_fract_x
_atom_site_fract_y
_atom_site_fract_z
K1 0.011 0.250 0.007
Mn1 0.000 0.000 0.500
F1 0.006 0.750 0.455
F2 0.248 0.525 0.752
```

Largest 12 diffraction maxima, low angle first, 10 to 90 degrees two-theta:
two_theta, Rel. int., (hkl)
20.89, 24, 1 0 1
29.71, 100, 1 2 1
36.60, 10, 2 2 0
42.51, 67, 2 0 2
47.83, 10, 2 2 2
52.73, 40, 2 4 0
61.60, 6, 4 0 0
61.71, 28, 2 4 2
69.92, 10, 3 2 3
77.75, 5, 4 4 0
85.34, 6, 4 4 2
85.46, 12, 1 2 5

Diffraction record for Ca3Co2Si4O14. The powder diffraction line list is theoretical, not measured: it uses a cell relaxed with GGA+U and Cu Kα, 1.54184 Å.
Peak positions follow from Bragg's law for the DFT cell and can differ from measured ones.

Atomic structure:
```
data_Ca3Co2Si4O14
_space_group_name_H-M_alt 'C 1 2/c 1'
_space_group_IT_number 15
_cell_length_a 17.037
_cell_length_b 7.709
_cell_length_c 10.106
_cell_angle_alpha 90.00
_cell_angle_beta 122.92
_cell_angle_gamma 90.00
loop_
_space_group_symop_operation_xyz
'x,y,z'
'-x,-y,-z'
'-x,y,-z+1/2'
'x,-y,z+1/2'
'x+1/2,y+1/2,z'
'-x+1/2,-y+1/2,-z'
'-x+1/2,y+1/2,-z+1/2'
'x+1/2,-y+1/2,z+1/2'
loop_
_atom_site_label
_atom_site_fract_x
_atom_site_fract_y
_atom_site_fract_z
Ca1 0.000 0.153 0.250
Ca2 0.196 0.467 0.459
Co1 0.000 0.286 0.750
Co2 0.000 0.500 0.000
Si1 0.126 0.162 0.646
Si2 0.177 0.212 0.157
O1 0.052 0.100 0.691
O2 0.064 0.460 0.717
O3 0.086 0.292 0.496
O4 0.103 0.340 0.017
O5 0.165 0.008 0.093
O6 0.182 0.212 0.322
O7 0.221 0.230 0.816
```

Largest 12 diffraction maxima, low angle first, 10 to 90 degrees two-theta:
two_theta, Rel. int., (hkl)
12.38, 35, 2 0 0
13.05, 43, 1 1 0
27.52, 96, 1 1 2
28.45, 29, 3 1 1
28.94, 76, 5 1 -2
29.76, 29, 2 0 2
31.39, 100, 0 2 2
32.21, 72, 4 2 -2
37.74, 23, 6 0 0
39.42, 68, 6 2 -2
47.54, 22, 5 3 0
51.12, 25, 2 0 4

Diffraction record for Li8Mn3VP6O24. The powder diffraction line list is theoretical, not measured: it uses a cell relaxed with GGA+U and Cu Kα, 1.54184 Å.
Peak positions follow from Bragg's law for the DFT cell and can differ from measured ones.

Atomic structure:
```
data_Li8Mn3VP6O24
_space_group_name_H-M_alt 'P 1'
_space_group_IT_number 1
_cell_length_a 8.395
_cell_length_b 8.505
_cell_length_c 9.269
_cell_angle_alpha 91.54
_cell_angle_beta 116.40
_cell_angle_gamma 119.04
loop_
_space_group_symop_operation_xyz
'x,y,z'
loop_
_atom_site_label
_atom_site_fract_x
_atom_site_fract_y
_atom_site_fract_z
Li1 0.000 0.000 0.000
Li2 0.045 0.275 0.509
Li3 0.182 0.795 0.236
Li4 0.304 0.719 0.950
Li5 0.440 0.395 0.246
Li6 0.570 0.332 0.964
Li7 0.695 0.859 0.688
Li8 0.744 0.124 0.200
Mn1 0.061 0.412 0.133
Mn2 0.663 0.211 0.537
Mn3 0.686 0.710 0.068
V1 0.081 0.912 0.659
P1 0.158 0.105 0.351
P2 0.177 0.307 0.858
P3 0.576 0.009 0.846
P4 0.577 0.808 0.342
P5 0.873 0.615 0.853
P6 0.881 0.520 0.350
O1 0.015 0.911 0.202
O2 0.045 0.574 0.296
O3 0.053 0.219 0.300
O4 0.077 0.635 0.999
O5 0.125 0.260 0.000
O6 0.173 0.072 0.517
O7 0.257 0.181 0.834
O8 0.349 0.904 0.821
O9 0.357 0.521 0.918
O10 0.375 0.209 0.363
O11 0.408 0.597 0.290
O12 0.494 0.931 0.353
O13 0.574 0.030 0.682
O14 0.630 0.850 0.195
O15 0.676 0.499 0.202
O16 0.679 0.893 0.907
O17 0.712 0.200 0.990
O18 0.714 0.573 0.916
O19 0.756 0.456 0.694
O20 0.780 0.869 0.514
O21 0.811 0.323 0.379
O22 0.945 0.812 0.819
O23 0.975 0.671 0.512
O24 0.986 0.263 0.690
```

Largest 12 diffraction maxima, low angle first, 10 to 90 degrees two-theta:
two_theta, Rel. int., (hkl)
13.99, 43, 0 1 -1
14.16, 50, 1 0 0
14.39, 29, -1 1 1
19.16, 41, 1 -1 1
19.29, 81, 0 1 1
23.62, 100, 1 1 0
23.91, 65, -1 2 1
28.19, 33, 0 2 -2
28.55, 29, 2 0 0
30.70, 57, 1 1 -3
30.89, 51, 2 -1 1
31.18, 30, -1 2 2